Simulated powder diffraction line list of K2Tc for CuKα, from DFT lattice parameters and positions (PBE).

Peak list (10 most intense, 2θ = 5–70°, in order of rising 2θ)
2θ/deg	d (Å)	intensity
18.27	4.855	51
20.78	4.274	50
25.65	3.473	44
27.72	3.218	44
27.95	3.193	100
32.22	2.778	49
33.41	2.682	29
33.77	2.654	27
36.15	2.485	32
49.19	1.852	28

Cell and atoms:
```
data_K2Tc
_chemical_formula_sum 'K12 Tc6'
_cell_length_a 4.970
_cell_length_b 16.891
_cell_length_c 9.583
_cell_angle_alpha 90.00
_cell_angle_beta 90.00
_cell_angle_gamma 90.00
_symmetry_space_group_name_H-M 'A m m 2'
_symmetry_Int_Tables_number 38
loop_
_symmetry_equiv_pos_as_xyz
'x,y,z'
'-x,-y,z'
'-x,y,z'
'x,-y,z'
'x,y+1/2,z+1/2'
'-x,-y+1/2,z+1/2'
'-x,y+1/2,z+1/2'
'x,-y+1/2,z+1/2'
loop_
_atom_site_label
_atom_site_type_symbol
_atom_site_fract_x
_atom_site_fract_y
_atom_site_fract_z
K1 K 0.000 0.000 0.000
K2 K 0.000 0.129 0.613
K3 K 0.500 0.000 0.332
K4 K 0.500 0.206 0.948
Tc1 Tc 0.000 0.168 0.243
Tc2 Tc 0.500 0.000 0.741
```